Record 1
The following is a theoretical XRD peak list of Al4Co3O12. It was derived from a crystal structure in the Materials Project, relaxed with GGA+U, using Cu Kα X-rays.
Kinematic intensities with the Lorentz-polarization factor, no thermal factor.

Cell lengths 5.7094, 5.7094, 13.9669 Å; angles 90.33, 90.33, 60.41 degrees
Positions (direct):
Al (0.0000, 0.0000, 0.0000)
Al (0.0000, 0.5000, 0.0000)
Al (0.1649, 0.6702, 0.3300)
Al (0.3298, 0.8351, 0.6700)
Al (0.5000, 0.0000, 0.0000)
Al (0.5000, 0.5000, 0.5000)
Al (0.6702, 0.1649, 0.3300)
Al (0.8351, 0.3298, 0.6700)
Co (0.1628, 0.1628, 0.4586)
Co (0.1674, 0.1674, 0.2133)
Co (0.4998, 0.4998, 0.1231)
Co (0.5002, 0.5002, 0.8769)
Co (0.8326, 0.8326, 0.7867)
Co (0.8372, 0.8372, 0.5414)
O (0.0050, 0.0050, 0.7394)
O (0.0194, 0.4936, 0.2544)
O (0.1542, 0.1542, 0.5920)
O (0.1598, 0.6718, 0.0734)
O (0.1668, 0.1668, 0.0706)
O (0.1903, 0.6725, 0.5806)
O (0.3275, 0.8097, 0.4194)
O (0.3283, 0.3283, 0.9266)
O (0.3282, 0.8402, 0.9266)
O (0.3501, 0.3501, 0.4122)
O (0.4865, 0.4865, 0.2540)
O (0.4936, 0.0194, 0.2544)
O (0.5064, 0.9806, 0.7456)
O (0.5135, 0.5135, 0.7460)
O (0.6499, 0.6499, 0.5878)
O (0.6718, 0.1598, 0.0734)
O (0.6717, 0.6717, 0.0734)
O (0.6725, 0.1903, 0.5806)
O (0.8097, 0.3275, 0.4194)
O (0.8332, 0.8332, 0.9294)
O (0.8402, 0.3282, 0.9266)
O (0.8458, 0.8458, 0.4080)
O (0.9806, 0.5064, 0.7456)
O (0.9950, 0.9950, 0.2606)

Peak list (8 most intense, 2θ = 10–80°, in order of rising 2θ)
2θ 18.99, d 4.674, rel. 66; 2θ 31.31, d 2.857, rel. 96; 2θ 31.37, d 2.852, rel. 51; 2θ 36.78, d 2.444, rel. 100; 2θ 36.87, d 2.438, rel. 26; 2θ 37.04, d 2.427, rel. 42; 2θ 59.31, d 1.558, rel. 33; 2θ 65.42, d 1.427, rel. 62


Record 2
The following is a theoretical XRD peak list of Rb2FeAuF6. It was derived from a crystal structure in the Materials Project, relaxed with GGA+U, using Cu Kα X-rays.
Kinematic intensities with the Lorentz-polarization factor, no thermal factor.

Cell lengths 6.2864, 6.2864, 6.2864 Å; angles 60.00, 60.00, 60.00 degrees
Positions (direct):
Rb (0.2500, 0.2500, 0.2500)
Rb (0.7500, 0.7500, 0.7500)
Fe (0.0000, 0.0000, 0.0000)
Au (0.5000, 0.5000, 0.5000)
F (0.2219, 0.2219, 0.7781)
F (0.2219, 0.7781, 0.2219)
F (0.2219, 0.7781, 0.7781)
F (0.7781, 0.2219, 0.2219)
F (0.7781, 0.2219, 0.7781)
F (0.7781, 0.7781, 0.2219)

Peak list (8 most intense, 2θ = 10–80°, in order of rising 2θ)
2θ 17.28, d 5.133, rel. 17; 2θ 19.97, d 4.445, rel. 12; 2θ 28.40, d 3.143, rel. 100; 2θ 33.43, d 2.681, rel. 18; 2θ 40.59, d 2.223, rel. 35; 2θ 50.28, d 1.815, rel. 40; 2θ 58.75, d 1.572, rel. 22; 2θ 66.52, d 1.406, rel. 19